(1)
# CoSn2
Calculated X-ray diffraction stick pattern, Cu Kα (λ = 1.5418 Å). Input: a structure optimized by DFT (GGA-PBE).
Intensities are scaled so that the largest is 100.

Unit cell a=6.3798 b=6.3798 c=5.4709 alpha=90.00 beta=90.00 gamma=90.00
Space group I4/mcm (No. 140)
Asymmetric unit:
Co (0.0000, 0.0000, 0.2500) [4 per cell]
Sn (0.1662, 0.3338, 0.0000) [8 per cell]

The 10 most intense peaks (2θ = 10–80°), in order of rising 2θ:
Position (°2θ)  Rel. int.
32.74  15
35.48  100
38.49  18
39.97  8
43.59  28
44.93  26
60.23  22
62.37  20
68.04  8
71.61  18

(2)
# Zr2InPd2
Calculated X-ray diffraction stick pattern, Cu Kα (λ = 1.5418 Å). Input: a structure optimized by DFT (GGA-PBE).
Intensities are scaled so that the largest is 100.

Unit cell a=8.0194 b=8.0194 c=7.2507 alpha=90.00 beta=90.00 gamma=90.00
Space group P4_2/mnm (No. 136)
Asymmetric unit:
Zr (0.1574, 0.1574, 0.0000) [4 per cell]
Zr (0.1855, 0.1855, 0.5000) [4 per cell]
In (0.0000, 0.5000, 0.2500) [4 per cell]
Pd (0.1280, 0.8720, 0.2795) [8 per cell]

The 10 most intense peaks (2θ = 10–80°), in order of rising 2θ:
Position (°2θ)  Rel. int.
31.56  13
33.32  33
35.20  100
35.40  62
40.56  12
43.55  13
50.34  12
63.04  18
64.60  13
68.06  13

(3)
# I
Calculated X-ray diffraction stick pattern, Cu Kα (λ = 1.5418 Å). Input: a structure optimized by DFT (GGA-PBE).
Intensities are scaled so that the largest is 100.

Unit cell a=2.9833 b=3.7586 c=8.2964 alpha=90.00 beta=90.00 gamma=90.00
Space group Immm (No. 71)
Asymmetric unit:
I (0.0000, 0.0000, 0.0000) [2 per cell]

The 10 most intense peaks (2θ = 10–80°), in order of rising 2θ:
Position (°2θ)  Rel. int.
21.42  81
26.03  100
31.88  59
38.53  35
40.50  30
44.50  46
44.68  23
59.16  20
59.60  19
76.94  14

(4)
# Mg6GaSi
Calculated X-ray diffraction stick pattern, Cu Kα (λ = 1.5418 Å). Input: a structure optimized by DFT (GGA-PBE).
Intensities are scaled so that the largest is 100.

Unit cell a=5.1627 b=6.0277 c=10.5976 alpha=90.00 beta=90.00 gamma=90.00
Space group Amm2 (No. 38)
Asymmetric unit:
Mg (0.0000, 0.0000, 0.0000) [2 per cell]
Mg (0.0000, 0.2443, 0.7457) [4 per cell]
Mg (0.5000, 0.0000, 0.1659) [2 per cell]
Mg (0.5000, 0.2466, 0.4190) [4 per cell]
Ga (0.0000, 0.0000, 0.5000) [2 per cell]
Si (0.5000, 0.0000, 0.6675) [2 per cell]

The 10 most intense peaks (2θ = 10–80°), in order of rising 2θ:
Position (°2θ)  Rel. int.
16.92  20
33.83  14
34.21  30
34.75  44
38.18  49
38.54  100
49.58  16
60.78  16
64.82  20
71.96  19

(5)
# Zr3GeAs5
Calculated X-ray diffraction stick pattern, Cu Kα (λ = 1.5418 Å). Input: a structure optimized by DFT (GGA-PBE).
Intensities are scaled so that the largest is 100.

Unit cell a=6.8065 b=3.7109 c=27.6283 alpha=90.00 beta=90.01 gamma=90.00
Space group Pm (No. 6)
Asymmetric unit:
Zr (0.0000, 0.0000, 0.0000) [1 per cell]
Zr (0.9995, 0.0000, 0.3331) [1 per cell]
Zr (0.9996, 0.0000, 0.6662) [1 per cell]
Zr (0.4570, 0.5000, 0.1083) [1 per cell]
Zr (0.4566, 0.5000, 0.4409) [1 per cell]
Zr (0.4573, 0.5000, 0.7753) [1 per cell]
Zr (0.4993, 0.0000, 0.6105) [1 per cell]
Zr (0.4999, 0.0000, 0.2759) [1 per cell]
Zr (0.5000, 0.0000, 0.9427) [1 per cell]
Zr (0.9553, 0.5000, 0.1682) [1 per cell]
Zr (0.9549, 0.5000, 0.8350) [1 per cell]
Zr (0.9567, 0.5000, 0.5020) [1 per cell]
Ge (0.3559, 0.5000, 0.5401) [1 per cell]
Ge (0.8544, 0.5000, 0.7363) [1 per cell]
Ge (0.8545, 0.5000, 0.0697) [1 per cell]
Ge (0.8561, 0.5000, 0.4031) [1 per cell]
As (0.1075, 0.0000, 0.2358) [1 per cell]
As (0.1074, 0.0000, 0.9024) [1 per cell]
As (0.1141, 0.0000, 0.5684) [1 per cell]
As (0.1338, 0.0000, 0.4371) [1 per cell]
As (0.1353, 0.0000, 0.1037) [1 per cell]
As (0.1348, 0.0000, 0.7702) [1 per cell]
As (0.3114, 0.5000, 0.3385) [1 per cell]
As (0.3117, 0.5000, 0.0053) [1 per cell]
As (0.3119, 0.5000, 0.6725) [1 per cell]
As (0.3508, 0.5000, 0.2072) [1 per cell]
As (0.3511, 0.5000, 0.8739) [1 per cell]
As (0.6135, 0.0000, 0.7083) [1 per cell]
As (0.6141, 0.0000, 0.0412) [1 per cell]
As (0.6148, 0.0000, 0.3744) [1 per cell]
As (0.6329, 0.0000, 0.5060) [1 per cell]
As (0.6425, 0.0000, 0.1720) [1 per cell]
As (0.6424, 0.0000, 0.8389) [1 per cell]
As (0.8118, 0.5000, 0.2706) [1 per cell]
As (0.8118, 0.5000, 0.6041) [1 per cell]
As (0.8119, 0.5000, 0.9376) [1 per cell]

The 10 most intense peaks (2θ = 10–80°), in order of rising 2θ:
Position (°2θ)  Rel. int.
31.98  44
33.70  39
35.80  74
37.15  49
40.37  100
41.40  16
44.52  44
49.10  31
59.80  15
68.42  24

(6)
# Ce2InCuSe5
Calculated X-ray diffraction stick pattern, Cu Kα (λ = 1.5418 Å). Input: a structure optimized by DFT (GGA-PBE).
Intensities are scaled so that the largest is 100.

Unit cell a=12.1195 b=4.0940 c=17.3505 alpha=90.00 beta=90.00 gamma=90.00
Space group Pnma (No. 62)
Asymmetric unit:
Ce (0.0243, 0.2500, 0.1794) [4 per cell]
Ce (0.1366, 0.7500, 0.5944) [4 per cell]
In (0.1909, 0.7500, 0.3606) [4 per cell]
Cu (0.0793, 0.7500, 0.9953) [4 per cell]
Se (0.0181, 0.2500, 0.6956) [4 per cell]
Se (0.0990, 0.2500, 0.9206) [4 per cell]
Se (0.1067, 0.2500, 0.4643) [4 per cell]
Se (0.1832, 0.7500, 0.1137) [4 per cell]
Se (0.2368, 0.7500, 0.7680) [4 per cell]

The 10 most intense peaks (2θ = 10–80°), in order of rising 2θ:
Position (°2θ)  Rel. int.
30.23  17
30.93  100
31.27  43
32.81  34
34.69  18
36.91  30
37.06  22
42.58  19
44.25  42
44.69  23